No. 1
Simulated X-ray powder pattern of LaMg6Fe for CuKα, from a crystal structure in the Materials Project, relaxed with GGA-PBE.

Top 8 peaks for 10° ≤ 2θ ≤ 80°, in order of rising 2θ:
2θ (°)	I_rel
14.2	65.8
17.7	40.9
22.8	39.1
31.9	30.2
33.9	70.6
34.1	42.1
35.8	41.6
38.6	100.0

Atomic structure:
Cell lengths 5.013, 6.871, 6.871 Å; angles 50.03, 90.00, 90.00 degrees
Fractional coordinates of all 8 atoms:
La 0.000 0.000 0.000
Mg 0.000 0.003 0.498
Mg 0.000 0.498 0.003
Mg 0.500 0.151 0.629
Mg 0.500 0.164 0.164
Mg 0.500 0.605 0.605
Mg 0.500 0.629 0.151
Fe 0.000 0.455 0.455

=====

No. 2
Simulated X-ray powder pattern of RbSbCl6 for CuKα, from a crystal structure in the Materials Project, relaxed with GGA-PBE.

Top 8 peaks for 10° ≤ 2θ ≤ 80°, in order of rising 2θ:
2θ (°)	I_rel
16.1	47.2
17.4	100.0
18.1	52.6
25.1	36.7
30.8	54.0
31.3	43.8
31.6	43.2
40.8	35.3

Atomic structure:
Cell lengths 7.080, 7.080, 12.678 Å; angles 100.50, 100.50, 55.91 degrees
Fractional coordinates of all 16 atoms:
Rb 0.116 0.884 0.750
Rb 0.884 0.116 0.250
Sb 0.000 0.500 0.000
Sb 0.500 0.000 0.500
Cl 0.107 0.200 0.540
Cl 0.199 0.372 0.840
Cl 0.200 0.107 0.040
Cl 0.298 0.542 0.106
Cl 0.372 0.199 0.340
Cl 0.458 0.702 0.394
Cl 0.542 0.298 0.606
Cl 0.628 0.801 0.660
Cl 0.702 0.458 0.894
Cl 0.800 0.893 0.960
Cl 0.801 0.628 0.160
Cl 0.893 0.800 0.460

=====

No. 3
Simulated X-ray powder pattern of Nd3BiRu4O14 for CuKα, from a crystal structure in the Materials Project, relaxed with GGA-PBE.

Top 8 peaks for 10° ≤ 2θ ≤ 80°, in order of rising 2θ:
2θ (°)	I_rel
29.5	100.0
29.8	33.2
34.3	44.8
49.2	31.2
49.5	30.4
58.4	14.5
58.5	29.0
58.8	14.1

Atomic structure:
Cell lengths 7.370, 7.370, 7.370 Å; angles 60.39, 60.39, 60.39 degrees
Fractional coordinates of all 22 atoms:
Nd 0.000 0.500 0.500
Nd 0.500 0.000 0.500
Nd 0.500 0.500 0.000
Bi 0.500 0.500 0.500
Ru 0.000 0.000 0.000
Ru 0.000 0.000 0.500
Ru 0.000 0.500 0.000
Ru 0.500 0.000 0.000
O 0.080 0.080 0.669
O 0.080 0.669 0.080
O 0.081 0.672 0.672
O 0.328 0.328 0.919
O 0.328 0.919 0.328
O 0.331 0.920 0.920
O 0.374 0.374 0.374
O 0.626 0.626 0.626
O 0.669 0.080 0.080
O 0.672 0.081 0.672
O 0.672 0.672 0.081
O 0.919 0.328 0.328
O 0.920 0.331 0.920
O 0.920 0.920 0.331

=====

No. 4
Simulated X-ray powder pattern of NaZnInS3O12 for CuKα, from a crystal structure in the Materials Project, relaxed with GGA-PBE.

Top 8 peaks for 10° ≤ 2θ ≤ 80°, in order of rising 2θ:
2θ (°)	I_rel
14.0	41.5
19.3	60.1
20.3	74.4
23.4	95.6
28.1	44.6
30.9	100.0
35.5	42.5
47.8	36.3

Atomic structure:
Cell lengths 9.208, 9.208, 9.208 Å; angles 56.82, 56.82, 56.82 degrees
Fractional coordinates of all 36 atoms:
Na 0.000 0.000 0.000
Na 0.500 0.500 0.500
Zn 0.353 0.353 0.353
Zn 0.853 0.853 0.853
In 0.153 0.153 0.153
In 0.653 0.653 0.653
S 0.051 0.460 0.751
S 0.251 0.960 0.551
S 0.460 0.751 0.051
S 0.551 0.251 0.960
S 0.751 0.051 0.460
S 0.960 0.551 0.251
O 0.018 0.618 0.780
O 0.073 0.285 0.916
O 0.086 0.936 0.720
O 0.118 0.518 0.280
O 0.220 0.436 0.586
O 0.229 0.981 0.391
O 0.280 0.118 0.518
O 0.285 0.916 0.073
O 0.391 0.229 0.981
O 0.416 0.785 0.573
O 0.436 0.586 0.220
O 0.481 0.729 0.891
O 0.518 0.280 0.118
O 0.573 0.416 0.785
O 0.586 0.220 0.436
O 0.618 0.780 0.018
O 0.720 0.086 0.936
O 0.729 0.891 0.481
O 0.780 0.018 0.618
O 0.785 0.573 0.416
O 0.891 0.481 0.729
O 0.916 0.073 0.285
O 0.936 0.720 0.086
O 0.981 0.391 0.229

=====

No. 5
Simulated X-ray powder pattern of Ru2W3 for CuKα, from a crystal structure in the Materials Project, relaxed with GGA-PBE.

Top 8 peaks for 10° ≤ 2θ ≤ 80°, in order of rising 2θ:
2θ (°)	I_rel
38.5	68.6
38.6	61.2
40.8	56.8
41.9	100.0
42.7	72.6
42.8	69.6
43.7	32.7
69.4	33.8

Atomic structure:
Cell lengths 9.638, 9.638, 4.981 Å; angles 90.00, 90.00, 90.33 degrees
Fractional coordinates of all 30 atoms:
Ru 0.000 0.000 0.000
Ru 0.066 0.264 0.010
Ru 0.182 0.818 0.258
Ru 0.236 0.568 0.507
Ru 0.264 0.066 0.010
Ru 0.432 0.764 0.507
Ru 0.500 0.500 0.507
Ru 0.568 0.236 0.507
Ru 0.736 0.934 0.010
Ru 0.764 0.432 0.507
Ru 0.818 0.182 0.258
Ru 0.934 0.736 0.010
W 0.035 0.368 0.507
W 0.103 0.103 0.509
W 0.130 0.540 0.010
W 0.181 0.819 0.758
W 0.318 0.318 0.257
W 0.319 0.319 0.759
W 0.368 0.035 0.507
W 0.398 0.602 0.010
W 0.460 0.870 0.010
W 0.540 0.130 0.010
W 0.602 0.398 0.010
W 0.632 0.965 0.507
W 0.681 0.681 0.759
W 0.682 0.682 0.257
W 0.819 0.181 0.758
W 0.870 0.460 0.010
W 0.897 0.897 0.509
W 0.965 0.632 0.507